No. 1
For La2Pr3Er4, a crystal structure in Alexandria, relaxed with PBE gives the calculated powder diffraction line list in this record (copper Kα).

Structure:
Lattice parameters (Å, degrees): 3.6324 3.6324 27.0149 90.00 90.00 120.00
Space group P3m1 (No. 156)
Unique sites:
1 La 0.0000 0.0000 0.0000
2 La 0.0000 0.0000 0.2314
3 Pr 0.0000 0.0000 0.7839
4 Pr 0.3333 0.6667 0.1192
5 Pr 0.3333 0.6667 0.4637
6 Er 0.0000 0.0000 0.3577
7 Er 0.0000 0.0000 0.5741
8 Er 0.3333 0.6667 0.6754
9 Er 0.3333 0.6667 0.8922

Largest 6 diffraction maxima, in order of falling intensity, 2θ = 15–90°:
| two_theta | I/Imax | h k l |
| --- | --- | --- |
| 32.95 | 100 | 1 0 5 |
| 31.37 | 55 | 0 1 4 |
| 28.37 | 43 | 1 0 0 |
| 29.76 | 41 | 0 0 9 |
| 50.23 | 35 | 1 1 0 |
| 59.49 | 35 | 1 1 9 |

No. 2
For LiEuAsS3, a crystal structure in Alexandria, relaxed with PBE gives the calculated powder diffraction line list in this record (copper Kα).

Structure:
Lattice parameters (Å, degrees): 5.7228 13.1581 7.2189 90.00 104.91 90.00
Space group P2_1/c (No. 14)
Unique sites:
1 Li 0.2102 0.2074 0.4300
2 Eu 0.1728 0.5796 0.7699
3 As 0.3794 0.5979 0.3353
4 S 0.2082 0.1273 0.1150
5 S 0.2459 0.7170 0.1043
6 S 0.3021 0.0457 0.6439

Largest 6 diffraction maxima, in order of falling intensity, 2θ = 15–90°:
| two_theta | I/Imax | h k l |
| --- | --- | --- |
| 32.35 | 100 | 2 1 -1 |
| 17.40 | 65 | 1 1 0 |
| 33.56 | 55 | 1 3 -2 |
| 32.81 | 54 | 0 3 2 |
| 25.54 | 49 | 0 0 2 |
| 22.32 | 49 | 1 2 -1 |

No. 3
For Ba8NaAs4, a crystal structure in Alexandria, relaxed with PBE gives the calculated powder diffraction line list in this record (copper Kα).

Structure:
Lattice parameters (Å, degrees): 23.3328 4.8237 15.8625 90.00 132.18 90.00
Space group Cm (No. 8)
Unique sites:
1 Ba 0.0000 0.0000 0.0000
2 Ba 0.0298 0.0000 0.7508
3 Ba 0.0727 0.0000 0.4771
4 Ba 0.1614 0.5000 0.3426
5 Ba 0.2042 0.5000 0.0687
6 Ba 0.2344 0.5000 0.8199
7 Ba 0.3252 0.0000 0.6748
8 Ba 0.4090 0.0000 0.1451
9 Na 0.3667 0.0000 0.4091
10 As 0.0152 0.5000 0.8765
11 As 0.0320 0.0000 0.2354
12 As 0.2021 0.5000 0.5843
13 As 0.2190 0.0000 0.9430

Largest 6 diffraction maxima, in order of falling intensity, 2θ = 15–90°:
| two_theta | I/Imax | h k l |
| --- | --- | --- |
| 24.06 | 100 | 3 1 0 |
| 24.99 | 97 | 3 1 -3 |
| 39.11 | 70 | 1 1 4 |
| 33.93 | 47 | 6 0 -6 |
| 24.59 | 42 | 2 0 -4 |
| 26.31 | 40 | 4 0 1 |

No. 4
For Pu2ThVN4, a crystal structure in Alexandria, relaxed with PBE gives the calculated powder diffraction line list in this record (copper Kα).

Structure:
Lattice parameters (Å, degrees): 3.3953 11.6537 11.7225 90.00 90.00 90.00
Space group Cmcm (No. 63)
Unique sites:
1 Pu 0.0000 0.1319 0.0469
2 Th 0.0000 0.3972 0.2500
3 V 0.0000 0.3395 0.7500
4 N 0.0000 0.0567 0.2500
5 N 0.0000 0.2313 0.6278
6 N 0.0000 0.5000 0.0000

Largest 6 diffraction maxima, in order of falling intensity, 2θ = 15–90°:
| two_theta | I/Imax | h k l |
| --- | --- | --- |
| 31.40 | 100 | 1 1 2 |
| 27.48 | 95 | 0 2 3 |
| 38.42 | 63 | 1 3 2 |
| 30.69 | 56 | 0 4 0 |
| 35.94 | 44 | 1 3 1 |
| 47.79 | 35 | 1 1 5 |

What did the fourth record say?
For Pu2ThVN4, a crystal structure in Alexandria, relaxed with PBE gives the calculated powder diffraction line list in this record (copper Kα).

Structure:
Lattice parameters (Å, degrees): 3.3953 11.6537 11.7225 90.00 90.00 90.00
Space group Cmcm (No. 63)
Unique sites:
1 Pu 0.0000 0.1319 0.0469
2 Th 0.0000 0.3972 0.2500
3 V 0.0000 0.3395 0.7500
4 N 0.0000 0.0567 0.2500
5 N 0.0000 0.2313 0.6278
6 N 0.0000 0.5000 0.0000

Largest 6 diffraction maxima, in order of falling intensity, 2θ = 15–90°:
| two_theta | I/Imax | h k l |
| --- | --- | --- |
| 31.40 | 100 | 1 1 2 |
| 27.48 | 95 | 0 2 3 |
| 38.42 | 63 | 1 3 2 |
| 30.69 | 56 | 0 4 0 |
| 35.94 | 44 | 1 3 1 |
| 47.79 | 35 | 1 1 5 |